(1)
The following is a computed powder X-ray diffraction pattern of Mg4Pa3RhN8. It was derived from DFT lattice parameters and positions (PBE), using a wavelength of 1.5418 Å.

Peak list (10 most intense, 2θ = 10–90°, most intense first)
h k l  Position (°2θ)  d [Å]  I (rel.)
2 0 -1  16.8  5.281  100
4 0 0  33.9  2.643  59
2 2 0  32.8  2.731  53
2 2 -2  40.2  2.243  47
0 2 1  32.3  2.768  42
2 0 1  28.2  3.160  27
0 0 2  32.2  2.784  27
4 2 1  53.3  1.719  21
2 2 2  52.3  1.748  21
4 2 -1  41.3  2.186  20

Atomic structure:
```
data_Mg4Pa3RhN8
_space_group_name_H-M_alt 'C 1 2/m 1'
_space_group_IT_number 12
_cell_length_a 12.0117
_cell_length_b 6.3790
_cell_length_c 6.3198
_cell_angle_alpha 90.00
_cell_angle_beta 118.24
_cell_angle_gamma 90.00
loop_
_space_group_symop_operation_xyz
'x,y,z'
'-x,-y,-z'
'-x,y,-z'
'x,-y,z'
'x+1/2,y+1/2,z'
'-x+1/2,-y+1/2,-z'
'-x+1/2,y+1/2,-z'
'x+1/2,-y+1/2,z'
loop_
_atom_site_label
_atom_site_type_symbol
_atom_site_fract_x
_atom_site_fract_y
_atom_site_fract_z
Mg1 Mg 0.0000 0.0000 0.0000
Mg2 Mg 0.0000 0.5000 0.0000
Mg3 Mg 0.2500 0.2500 0.5000
Pa1 Pa 0.0000 0.0000 0.5000
Pa2 Pa 0.2500 0.2500 0.0000
Rh1 Rh 0.0000 0.5000 0.5000
N1 N 0.0302 0.2577 0.7726
N2 N 0.2065 0.0000 0.2065
N3 N 0.2274 0.0000 0.7141
```



(2)
The following is a computed powder X-ray diffraction pattern of MgPaTa2N4. It was derived from DFT lattice parameters and positions (PBE), using a wavelength of 1.5418 Å.

Peak list (10 most intense, 2θ = 10–90°, most intense first)
h k l  Position (°2θ)  d [Å]  I (rel.)
1 1 2  34.1  2.631  100
2 0 0  39.4  2.287  48
1 0 1  21.8  4.082  38
2 0 4  57.3  1.608  32
3 1 2  68.0  1.378  29
0 0 4  39.9  2.261  23
2 2 0  56.9  1.617  16
2 2 4  71.8  1.315  16
1 1 6  68.7  1.366  14
1 0 3  35.7  2.517  12

Atomic structure:
```
data_MgPaTa2N4
_space_group_name_H-M_alt 'I 4/m m m'
_space_group_IT_number 139
_space_group_name_Hall '-I 4 2'
_cell_length_a 4.5745
_cell_length_b 4.5745
_cell_length_c 9.0424
_cell_angle_alpha 90.00
_cell_angle_beta 90.00
_cell_angle_gamma 90.00
loop_
_atom_site_label
_atom_site_type_symbol
_atom_site_fract_x
_atom_site_fract_y
_atom_site_fract_z
Mg1 Mg 0.0000 0.0000 0.0000
Pa1 Pa 0.0000 0.0000 0.5000
Ta1 Ta 0.0000 0.5000 0.2500
N1 N 0.0000 0.0000 0.2378
N2 N 0.0000 0.5000 0.0000
```



(3)
The following is a computed powder X-ray diffraction pattern of Mg3Zr2PaN6. It was derived from DFT lattice parameters and positions (PBE), using a wavelength of 1.5418 Å.

Peak list (10 most intense, 2θ = 10–90°, most intense first)
h k l  Position (°2θ)  d [Å]  I (rel.)
2 0 -1  17.0  5.223  100
3 1 0  33.4  2.687  83
1 1 -2  38.9  2.313  73
1 1 1  31.8  2.814  63
0 2 0  55.7  1.651  35
6 0 0  39.1  2.303  35
4 0 -2  34.3  2.612  26
7 1 -2  57.0  1.615  22
2 0 0  12.8  6.909  21
5 1 -1  42.8  2.111  18

Atomic structure:
```
data_Mg3Zr2PaN6
_space_group_name_H-M_alt 'C 1 2/m 1'
_space_group_IT_number 12
_cell_length_a 14.1027
_cell_length_b 3.3060
_cell_length_c 6.4789
_cell_angle_alpha 90.00
_cell_angle_beta 101.51
_cell_angle_gamma 90.00
loop_
_space_group_symop_operation_xyz
'x,y,z'
'-x,-y,-z'
'-x,y,-z'
'x,-y,z'
'x+1/2,y+1/2,z'
'-x+1/2,-y+1/2,-z'
'-x+1/2,y+1/2,-z'
'x+1/2,-y+1/2,z'
loop_
_atom_site_label
_atom_site_type_symbol
_atom_site_fract_x
_atom_site_fract_y
_atom_site_fract_z
Mg1 Mg 0.0000 0.0000 0.0000
Mg2 Mg 0.1719 0.5000 0.3347
Zr1 Zr 0.1706 0.5000 0.8452
Pa1 Pa 0.0000 0.0000 0.5000
N1 N 0.0031 0.5000 0.7515
N2 N 0.1653 0.0000 0.5920
N3 N 0.1687 0.0000 0.0838
```



(4)
The following is a computed powder X-ray diffraction pattern of Pm6Mg3N. It was derived from DFT lattice parameters and positions (PBE), using a wavelength of 1.5418 Å.

Peak list (10 most intense, 2θ = 10–90°, most intense first)
h k l  Position (°2θ)  d [Å]  I (rel.)
0 3 3  33.0  2.713  100
0 1 2  14.1  6.278  27
0 0 6  31.4  2.848  24
0 3 9  56.9  1.617  22
3 0 0  28.9  3.086  21
3 3 6  61.4  1.510  21
3 3 0  51.3  1.782  19
3 0 6  43.2  2.093  16
6 0 3  62.4  1.489  15
3 6 3  84.9  1.143  13

Atomic structure:
```
data_Pm6Mg3N
_space_group_name_H-M_alt 'R -3 m'
_space_group_IT_number 166
_space_group_name_Hall '-R 3 2"'
_cell_length_a 10.6898
_cell_length_b 10.6898
_cell_length_c 17.0857
_cell_angle_alpha 90.00
_cell_angle_beta 90.00
_cell_angle_gamma 120.00
loop_
_atom_site_label
_atom_site_type_symbol
_atom_site_fract_x
_atom_site_fract_y
_atom_site_fract_z
Pm1 Pm 0.1070 0.2140 0.4155
Pm2 Pm 0.1085 0.2170 0.0847
Mg1 Mg 0.1091 0.2181 0.7494
N1 N 0.0000 0.0000 0.0000
N2 N 0.0000 0.0000 0.5000
```



(5)
The following is a computed powder X-ray diffraction pattern of Pm2MgN. It was derived from DFT lattice parameters and positions (PBE), using a wavelength of 1.5418 Å.

Peak list (10 most intense, 2θ = 10–90°, most intense first)
h k l  Position (°2θ)  d [Å]  I (rel.)
1 1 1  30.9  2.890  100
0 6 1  31.5  2.839  78
1 5 0  33.5  2.672  58
1 5 2  49.0  1.858  39
0 0 2  34.7  2.585  37
0 12 0  54.0  1.697  30
1 7 0  40.1  2.248  24
2 6 1  61.8  1.501  23
1 11 1  59.1  1.564  20
0 4 1  24.5  3.629  19

Atomic structure:
```
data_Pm2MgN
_space_group_name_H-M_alt 'C m c m'
_space_group_IT_number 63
_space_group_name_Hall '-C 2c 2'
_cell_length_a 3.5379
_cell_length_b 20.3795
_cell_length_c 5.1696
_cell_angle_alpha 90.00
_cell_angle_beta 90.00
_cell_angle_gamma 90.00
loop_
_atom_site_label
_atom_site_type_symbol
_atom_site_fract_x
_atom_site_fract_y
_atom_site_fract_z
Pm1 Pm 0.0000 0.1185 0.2500
Pm2 Pm 0.0000 0.2883 0.2500
Mg1 Mg 0.0000 0.4597 0.2500
N1 N 0.0000 0.2978 0.7500
```



(6)
The following is a computed powder X-ray diffraction pattern of PmMg2TaN4. It was derived from DFT lattice parameters and positions (PBE), using a wavelength of 1.5418 Å.

Peak list (10 most intense, 2θ = 10–90°, most intense first)
h k l  Position (°2θ)  d [Å]  I (rel.)
0 0 2  33.1  2.704  100
0 1 1  22.0  4.032  65
2 0 0  24.4  3.648  32
0 2 1  33.9  2.643  24
2 1 0  28.6  3.126  21
2 3 0  51.7  1.768  18
2 1 3  59.2  1.560  17
0 2 0  29.5  3.031  17
0 1 0  14.6  6.063  17
2 2 1  42.2  2.140  17

Atomic structure:
```
data_PmMg2TaN4
_space_group_name_H-M_alt 'P m n 21'
_space_group_IT_number 31
_cell_length_a 7.2957
_cell_length_b 6.0630
_cell_length_c 5.3997
_cell_angle_alpha 90.00
_cell_angle_beta 90.00
_cell_angle_gamma 90.00
loop_
_space_group_symop_operation_xyz
'x,y,z'
'-x+1/2,-y,z+1/2'
'-x,y,z'
'x+1/2,-y,z+1/2'
loop_
_atom_site_label
_atom_site_type_symbol
_atom_site_fract_x
_atom_site_fract_y
_atom_site_fract_z
Pm1 Pm 0.0000 0.1687 0.0000
Mg1 Mg 0.2492 0.3337 0.5132
Ta1 Ta 0.0000 0.8121 0.5193
N1 N 0.0000 0.1350 0.4523
N2 N 0.0000 0.7985 0.8803
N3 N 0.2218 0.6630 0.4025
```



(7)
The following is a computed powder X-ray diffraction pattern of Pu4MgN5. It was derived from DFT lattice parameters and positions (PBE), using a wavelength of 1.5418 Å.

Peak list (10 most intense, 2θ = 10–90°, most intense first)
h k l  Position (°2θ)  d [Å]  I (rel.)
1 1 0  31.8  2.816  100
0 1 5  31.9  2.804  98
1 0 5  36.8  2.443  90
1 2 5  53.3  1.717  62
0 2 0  37.2  2.414  44
2 1 5  63.0  1.474  31
1 3 0  63.8  1.459  30
1 1 10  63.3  1.469  29
0 0 2  10.3  8.609  25
2 3 5  87.4  1.116  19

Atomic structure:
```
data_Pu4MgN5
_space_group_name_H-M_alt 'I m m m'
_space_group_IT_number 71
_space_group_name_Hall '-I 2 2'
_cell_length_a 3.4671
_cell_length_b 4.8282
_cell_length_c 17.2181
_cell_angle_alpha 90.00
_cell_angle_beta 90.00
_cell_angle_gamma 90.00
loop_
_atom_site_label
_atom_site_type_symbol
_atom_site_fract_x
_atom_site_fract_y
_atom_site_fract_z
Pu1 Pu 0.0000 0.0000 0.0954
Pu2 Pu 0.0000 0.0000 0.3018
Mg1 Mg 0.0000 0.0000 0.5000
N1 N 0.0000 0.5000 0.1028
N2 N 0.0000 0.5000 0.3040
N3 N 0.0000 0.5000 0.5000
```



(8)
The following is a computed powder X-ray diffraction pattern of RbMg2N. It was derived from DFT lattice parameters and positions (PBE), using a wavelength of 1.5418 Å.

Peak list (10 most intense, 2θ = 10–90°, most intense first)
h k l  Position (°2θ)  d [Å]  I (rel.)
2 2 0  26.2  3.395  100
3 1 1  30.9  2.895  76
4 2 2  46.3  1.960  39
4 4 0  54.0  1.698  28
5 1 1  49.3  1.848  27
6 4 2  73.8  1.283  18
7 3 1  76.1  1.250  17
6 2 0  61.0  1.518  16
1 1 1  16.0  5.544  11
2 2 2  32.3  2.772  10

Atomic structure:
Cell lengths 9.6031, 9.6031, 9.6031 Å; angles 90.00, 90.00, 90.00 degrees
Space group Fd-3m (No. 227, origin choice 2)
One atom of each set of equivalent atoms:
Rb1 0.1250 0.1250 0.1250 x8
Mg1 0.0000 0.0000 0.5000 x16
N1 0.1250 0.1250 0.6250 x8



(9)
The following is a computed powder X-ray diffraction pattern of Sr2MgReN4. It was derived from DFT lattice parameters and positions (PBE), using a wavelength of 1.5418 Å.

Peak list (10 most intense, 2θ = 10–90°, most intense first)
h k l  Position (°2θ)  d [Å]  I (rel.)
1 2 1  32.3  2.770  100
0 1 1  18.8  4.715  37
1 1 0  19.4  4.580  35
2 0 0  30.4  2.945  35
0 0 2  28.9  3.093  29
2 0 2  42.4  2.133  27
3 2 1  55.2  1.664  22
1 2 3  53.4  1.716  19
2 1 1  36.0  2.498  14
2 4 2  67.6  1.385  14

Atomic structure:
```
data_Sr2MgReN4
_space_group_name_H-M_alt 'P m m n'
_space_group_IT_number 59
_cell_length_a 5.8895
_cell_length_b 7.2856
_cell_length_c 6.1853
_cell_angle_alpha 90.00
_cell_angle_beta 90.00
_cell_angle_gamma 90.00
loop_
_space_group_symop_operation_xyz
'x,y,z'
'-x,-y,-z'
'-x+1/2,-y+1/2,z'
'x+1/2,y+1/2,-z'
'x+1/2,-y,-z'
'-x+1/2,y,z'
'-x,y+1/2,-z'
'x,-y+1/2,z'
loop_
_atom_site_label
_atom_site_type_symbol
_atom_site_fract_x
_atom_site_fract_y
_atom_site_fract_z
Sr1 Sr 0.2500 0.0027 0.2401
Mg1 Mg 0.2500 0.2500 0.7794
Re1 Re 0.2500 0.7500 0.7969
N1 N 0.0037 0.7500 0.9869
N2 N 0.2500 0.5299 0.6477
```



(10)
The following is a computed powder X-ray diffraction pattern of Mg2Rh6N. It was derived from DFT lattice parameters and positions (PBE), using a wavelength of 1.5418 Å.

Peak list (10 most intense, 2θ = 10–90°, most intense first)
h k l  Position (°2θ)  d [Å]  I (rel.)
2 0 2  39.3  2.295  100
2 2 0  45.5  1.993  35
4 2 2  79.9  1.201  24
2 2 4  66.6  1.403  21
0 0 4  45.9  1.976  17
1 1 0  22.3  3.987  15
2 0 6  80.5  1.194  12
4 0 4  84.4  1.148  11
4 0 0  66.3  1.409  11
1 1 2  31.9  2.807  8

Atomic structure:
```
data_Mg2Rh6N
_space_group_name_H-M_alt 'I 4/m m m'
_space_group_IT_number 139
_space_group_name_Hall '-I 4 2'
_cell_length_a 5.6380
_cell_length_b 5.6380
_cell_length_c 7.9053
_cell_angle_alpha 90.00
_cell_angle_beta 90.00
_cell_angle_gamma 90.00
loop_
_atom_site_label
_atom_site_type_symbol
_atom_site_fract_x
_atom_site_fract_y
_atom_site_fract_z
Mg1 Mg 0.0000 0.5000 0.2500
Rh1 Rh 0.0000 0.0000 0.2422
Rh2 Rh 0.2440 0.2440 0.0000
N1 N 0.0000 0.0000 0.5000
```



(11)
The following is a computed powder X-ray diffraction pattern of Mg4RuN4. It was derived from DFT lattice parameters and positions (PBE), using a wavelength of 1.5418 Å.

Peak list (10 most intense, 2θ = 10–90°, most intense first)
h k l  Position (°2θ)  d [Å]  I (rel.)
2 2 1  40.9  2.207  100
1 0 1  21.3  4.173  60
-1 1 3  40.7  2.215  49
0 2 1  35.0  2.563  43
2 0 0  35.1  2.554  43
1 1 3  36.6  2.457  36
1 0 -1  20.3  4.368  36
0 1 0  18.0  4.929  35
3 1 -2  57.3  1.607  35
1 1 -2  33.9  2.642  34

Atomic structure:
```
data_Mg4RuN4
_space_group_name_H-M_alt 'P -1'
_space_group_IT_number 2
_cell_length_a 5.4208
_cell_length_b 5.4389
_cell_length_c 8.1095
_cell_angle_alpha 73.89
_cell_angle_beta 87.24
_cell_angle_gamma 70.62
loop_
_space_group_symop_operation_xyz
'x,y,z'
'-x,-y,-z'
loop_
_atom_site_label
_atom_site_type_symbol
_atom_site_fract_x
_atom_site_fract_y
_atom_site_fract_z
Mg1 Mg 0.2340 0.2643 0.0004
Mg2 Mg 0.2340 0.8379 0.7903
Mg3 Mg 0.2374 0.0526 0.4153
Mg4 Mg 0.2464 0.4729 0.5910
Ru1 Ru 0.2444 0.6288 0.2246
N1 N 0.0047 0.3998 0.2047
N2 N 0.0105 0.2013 0.6213
N3 N 0.3494 0.8311 0.0326
N4 N 0.4901 0.2947 0.3848
```



(12)
The following is a computed powder X-ray diffraction pattern of MgSb2N. It was derived from DFT lattice parameters and positions (PBE), using a wavelength of 1.5418 Å.

Peak list (10 most intense, 2θ = 10–90°, most intense first)
h k l  Position (°2θ)  d [Å]  I (rel.)
1 1 2  28.6  3.126  100
2 1 1  32.4  2.766  48
2 0 0  27.3  3.272  25
4 0 2  60.7  1.527  22
1 0 1  17.1  5.180  20
2 0 4  51.4  1.779  20
3 2 1  51.5  1.775  19
2 1 3  44.6  2.033  17
3 1 2  49.0  1.860  13
2 2 0  38.9  2.314  12

Atomic structure:
```
data_MgSb2N
_space_group_name_H-M_alt 'I -4 2 d'
_space_group_IT_number 122
_space_group_name_Hall 'I -4 2bw'
_cell_length_a 6.5439
_cell_length_b 6.5439
_cell_length_c 8.4791
_cell_angle_alpha 90.00
_cell_angle_beta 90.00
_cell_angle_gamma 90.00
loop_
_atom_site_label
_atom_site_type_symbol
_atom_site_fract_x
_atom_site_fract_y
_atom_site_fract_z
Mg1 Mg 0.0000 0.0000 0.0000
Sb1 Sb 0.1677 0.7500 0.6250
N1 N 0.0000 0.0000 0.5000
```



(13)
The following is a computed powder X-ray diffraction pattern of Mg2ZnSbN. It was derived from DFT lattice parameters and positions (PBE), using a wavelength of 1.5418 Å.

Peak list (10 most intense, 2θ = 10–90°, most intense first)
h k l  Position (°2θ)  d [Å]  I (rel.)
1 1 1  35.8  2.511  100
2 0 0  41.3  2.186  41
1 1 0  28.9  3.091  40
0 0 1  20.6  4.304  29
2 0 2  60.4  1.533  25
3 1 1  71.7  1.316  25
0 0 2  42.0  2.152  20
1 1 2  51.8  1.766  15
2 0 1  46.6  1.949  15
1 0 1  29.1  3.067  13

Atomic structure:
```
data_Mg2ZnSbN
_space_group_name_H-M_alt 'P 4/m m m'
_space_group_IT_number 123
_space_group_name_Hall '-P 4 2'
_cell_length_a 4.3715
_cell_length_b 4.3715
_cell_length_c 4.3039
_cell_angle_alpha 90.00
_cell_angle_beta 90.00
_cell_angle_gamma 90.00
loop_
_atom_site_label
_atom_site_type_symbol
_atom_site_fract_x
_atom_site_fract_y
_atom_site_fract_z
Mg1 Mg 0.0000 0.5000 0.0000
Zn1 Zn 0.0000 0.0000 0.5000
Sb1 Sb 0.5000 0.5000 0.5000
N1 N 0.0000 0.0000 0.0000
```